DyHo4Tm5: simulated powder X-ray diffraction pattern (Cu Kα, 1.54184 Å), based on the PBE geometry in Alexandria.

Structure:
```
data_DyHo4Tm5
_chemical_formula_sum 'Dy1 Ho4 Tm5'
_symmetry_space_group_name_H-M 'P -1'
_symmetry_Int_Tables_number 2
_symmetry_space_group_name_Hall '-P 1'
_cell_length_a 3.5080
_cell_length_b 6.6299
_cell_length_c 13.7979
_cell_angle_alpha 97.81
_cell_angle_beta 91.69
_cell_angle_gamma 104.62
loop_
_atom_site_label
_atom_site_fract_x
_atom_site_fract_y
_atom_site_fract_z
Dy1 0.0000 0.0000 0.0000
Ho1 0.1429 0.8182 0.2151
Ho2 0.1542 0.7158 0.8061
Tm1 0.1971 0.8775 0.5836
Tm2 0.4765 0.4223 0.6138
Tm3 0.5000 0.5000 0.0000
```

Main lines, by angle (2θ from 10° to 90°):
2theta, I (rel.)
29.70, 23
31.91, 57
32.85, 100
33.05, 30
33.32, 14
34.47, 8
44.04, 9
44.28, 10
50.13, 11
57.41, 15
57.49, 7
60.82, 10


Dy7Ho12Tm: simulated powder X-ray diffraction pattern (Cu Kα, 1.54184 Å), based on the PBE geometry in Alexandria.

Structure:
```
data_Dy7Ho12Tm
_chemical_formula_sum 'Dy21 Ho36 Tm3'
_symmetry_space_group_name_H-M 'R -3'
_symmetry_Int_Tables_number 148
_symmetry_space_group_name_Hall '-R 3'
_cell_length_a 12.6921
_cell_length_b 12.6921
_cell_length_c 13.5542
_cell_angle_alpha 90.00
_cell_angle_beta 90.00
_cell_angle_gamma 120.00
loop_
_atom_site_label
_atom_site_fract_x
_atom_site_fract_y
_atom_site_fract_z
Dy1 0.0000 0.0000 0.0000
Dy2 0.0685 0.8686 0.3470
Ho1 0.0006 0.5642 0.2495
Ho2 0.0684 0.2004 0.8485
Tm1 0.0000 0.0000 0.5000
```

Main lines, by angle (2θ from 10° to 90°):
2theta, I (rel.)
27.55, 19
30.05, 62
31.00, 43
32.20, 100
39.74, 32
42.48, 10
42.69, 24
48.00, 13
51.95, 14
56.08, 14
59.90, 14
61.19, 10


Dy3Ho5Tm4: simulated powder X-ray diffraction pattern (Cu Kα, 1.54184 Å), based on the PBE geometry in Alexandria.

Structure:
```
data_Dy3Ho5Tm4
_chemical_formula_sum 'Dy3 Ho5 Tm4'
_symmetry_space_group_name_H-M 'P -1'
_symmetry_Int_Tables_number 2
_symmetry_space_group_name_Hall '-P 1'
_cell_length_a 6.0738
_cell_length_b 7.0231
_cell_length_c 8.5840
_cell_angle_alpha 89.98
_cell_angle_beta 89.96
_cell_angle_gamma 89.91
loop_
_atom_site_label
_atom_site_fract_x
_atom_site_fract_y
_atom_site_fract_z
Dy1 0.0000 0.0000 0.0000
Dy2 0.1664 0.2506 0.3338
Ho1 0.0000 0.5000 0.0000
Ho2 0.3334 0.0000 0.6662
Ho3 0.4994 0.7494 0.0001
Tm1 0.1667 0.7494 0.3340
Tm2 0.3336 0.5000 0.6662
```

Main lines, by angle (2θ from 10° to 90°):
2theta, I (rel.)
31.23, 100
36.22, 51
52.14, 30
52.21, 6
62.03, 25
62.10, 18
65.18, 9
76.87, 6
85.18, 6
85.32, 7
87.97, 6
88.09, 10